No. 1
Starting from a DFT-relaxed cell (PBE, Alexandria), the PXRD pattern of Pr5PuSn5 was computed for Cu Ka.

Cell and atoms:
```
data_Pr5PuSn5
_cell_length_a 14.4537
_cell_length_b 6.3745
_cell_length_c 8.8684
_cell_angle_alpha 90.00
_cell_angle_beta 108.20
_cell_angle_gamma 90.00
_symmetry_space_group_name_H-M 'C 1 2/m 1'
_symmetry_Int_Tables_number 12
_symmetry_space_group_name_Hall '-C 2y'
loop_
_atom_site_label
_atom_site_type_symbol
_atom_site_fract_x
_atom_site_fract_y
_atom_site_fract_z
Pr1 Pr 0.0000 0.0000 0.0000
Pr2 Pr 0.1665 0.5000 0.3299
Pr3 Pr 0.1713 0.5000 0.8338
Pu1 Pu 0.0000 0.0000 0.5000
Sn1 Sn 0.0000 0.5000 0.5000
Sn2 Sn 0.1605 0.0000 0.3365
Sn3 Sn 0.1612 0.0000 0.8282
```

Most intense lines, 10° ≤ 2θ ≤ 90°, in order of rising 2θ:
h k l	2theta	d_spacing	I (rel.)
0 2 0	27.96	3.191	100
2 0 2	28.10	3.175	49
6 0 0	39.37	2.288	20
4 2 -2	39.96	2.256	39
2 2 2	40.08	2.250	39
2 0 -4	40.70	2.217	18
6 2 0	49.00	1.859	21
2 2 -4	50.12	1.820	20
4 4 -2	65.41	1.427	19
4 2 4	65.70	1.421	10

No. 2
Starting from a DFT-relaxed cell (PBE, Alexandria), the PXRD pattern of Tb7Pr12Pu was computed for Cu Ka.

Cell and atoms:
```
data_Tb7Pr12Pu
_cell_length_a 19.6996
_cell_length_b 19.6996
_cell_length_c 6.2748
_cell_angle_alpha 90.00
_cell_angle_beta 90.00
_cell_angle_gamma 120.00
_symmetry_space_group_name_H-M 'R -3 m'
_symmetry_Int_Tables_number 166
_symmetry_space_group_name_Hall '-R 3 2"'
loop_
_atom_site_label
_atom_site_type_symbol
_atom_site_fract_x
_atom_site_fract_y
_atom_site_fract_z
Tb1 Tb 0.0000 0.0000 0.0000
Tb2 Tb 0.0802 0.1604 0.3049
Pr1 Pr 0.0000 0.4121 0.0000
Pr2 Pr 0.0976 0.5488 0.4800
Pu1 Pu 0.0000 0.0000 0.5000
```

Most intense lines, 10° ≤ 2θ ≤ 90°, in order of rising 2θ:
h k l	2theta	d_spacing	I (rel.)
3 3 0	27.16	3.283	49
0 5 1	29.81	2.998	100
2 0 2	30.36	2.945	58
5 1 1	32.52	2.753	60
5 2 0	32.78	2.732	55
3 1 2	34.29	2.615	39
5 0 2	39.00	2.309	44
7 0 1	39.67	2.272	30
5 5 0	46.08	1.970	33
0 7 2	47.22	1.925	36